# 1
The following is a simulated XRD peak list of MgMn3CrO8. It was derived from a structure optimized by DFT (PBE+U), using CuKα.
Intensities are scaled so that the largest is 1000.

Structure:
a = 5.8474 Å, b = 5.9185 Å, c = 5.9384 Å
α = 118.74°, β = 119.30°, γ = 90.26°
Space group P1 (No. 1)
Symmetry-distinct sites (fractional):
Mg 0.0000 0.0000 0.0000 [1 per cell]
Mn 0.1221 0.3724 0.7361 [1 per cell]
Mn 0.6124 0.3721 0.7362 [1 per cell]
Mn 0.6138 0.8657 0.2278 [1 per cell]
Cr 0.6150 0.3758 0.2314 [1 per cell]
O 0.3574 0.5708 0.7151 [1 per cell]
O 0.3635 0.6003 0.1776 [1 per cell]
O 0.3797 0.1691 0.7636 [1 per cell]
O 0.4092 0.1354 0.2738 [1 per cell]
O 0.8137 0.6012 0.1759 [1 per cell]
O 0.8541 0.5855 0.7076 [1 per cell]
O 0.8622 0.1360 0.2727 [1 per cell]
O 0.8692 0.1552 0.7418 [1 per cell]

Top 12 peaks for 2θ from 5° to 70°, low angle first:
h k l, 2θ (°), intensity
0 1 0, 18.00, 412
0 1 -1, 18.34, 1000
0 1 1, 34.40, 97
1 0 1, 34.78, 178
1 -2 1, 35.67, 148
2 -1 0, 35.81, 229
2 0 0, 37.17, 130
0 0 2, 41.91, 288
2 -2 0, 43.41, 264
2 2 -2, 43.62, 261
-2 2 2, 61.44, 98
2 2 0, 61.55, 98

---

# 2
The following is a simulated XRD peak list of MgMn6O8F4. It was derived from a structure optimized by DFT (PBE+U), using CuKα.
Intensities are scaled so that the largest is 1000.

Structure:
a = 4.3522 Å, b = 4.7525 Å, c = 10.6677 Å
α = 98.27°, β = 91.98°, γ = 90.58°
Space group P1 (No. 1)
Symmetry-distinct sites (fractional):
Mg 0.0000 0.0000 0.0000 [1 per cell]
Mn 0.1620 0.6410 0.3694 [1 per cell]
Mn 0.2288 0.7866 0.6581 [1 per cell]
Mn 0.4200 0.5464 0.0303 [1 per cell]
Mn 0.6189 0.1693 0.2160 [1 per cell]
Mn 0.6903 0.2150 0.5154 [1 per cell]
Mn 0.7600 0.2752 0.8071 [1 per cell]
O 0.0041 0.9021 0.5142 [1 per cell]
O 0.0370 0.9808 0.8097 [1 per cell]
O 0.3362 0.4621 0.2119 [1 per cell]
O 0.4014 0.5281 0.5239 [1 per cell]
O 0.4779 0.0030 0.0434 [1 per cell]
O 0.5265 0.0725 0.6627 [1 per cell]
O 0.8522 0.3539 0.3644 [1 per cell]
O 0.9103 0.4345 0.9775 [1 per cell]
F 0.4454 0.5736 0.8211 [1 per cell]
F 0.4578 0.9500 0.3576 [1 per cell]
F 0.9435 0.4757 0.6675 [1 per cell]
F 0.9587 0.9091 0.1791 [1 per cell]

Top 12 peaks for 2θ from 5° to 70°, low angle first:
h k l, 2θ (°), intensity
1 -1 0, 27.73, 550
1 1 0, 28.16, 1000
1 -1 1, 28.40, 643
0 1 -3, 29.44, 260
1 0 -3, 32.15, 254
1 0 3, 33.34, 277
0 1 3, 33.97, 355
0 1 -4, 36.58, 212
1 0 4, 40.63, 224
1 2 -4, 52.33, 271
2 1 3, 55.72, 243
2 -2 0, 57.28, 292

---

# 3
The following is a simulated XRD peak list of Mg2Co9O13. It was derived from a structure optimized by DFT (PBE+U), using CuKα.
Intensities are scaled so that the largest is 1000.

Structure:
a = 9.9262 Å, b = 2.9277 Å, c = 16.6003 Å
α = 90.00°, β = 98.52°, γ = 90.00°
Space group C2/m (No. 12)
Symmetry-distinct sites (fractional):
Mg 0.2097 0.0000 0.2274 [4 per cell]
Co 0.0000 0.5000 0.5000 [2 per cell]
Co 0.0025 0.0000 0.6710 [4 per cell]
Co 0.0663 0.0000 0.8719 [4 per cell]
Co 0.1459 0.5000 0.0400 [4 per cell]
Co 0.2466 0.0000 0.5833 [4 per cell]
O 0.0000 0.0000 0.0000 [2 per cell]
O 0.0785 0.5000 0.1467 [4 per cell]
O 0.1056 0.5000 0.6091 [4 per cell]
O 0.1285 0.0000 0.4654 [4 per cell]
O 0.1366 0.5000 0.3075 [4 per cell]
O 0.1385 0.0000 0.7761 [4 per cell]
O 0.1983 0.5000 0.9265 [4 per cell]

Top 12 peaks for 2θ from 5° to 70°, low angle first:
h k l, 2θ (°), intensity
0 0 2, 10.78, 528
1 1 2, 34.21, 180
2 0 -6, 35.08, 1000
4 0 -1, 36.20, 288
1 1 3, 36.61, 203
2 0 6, 40.05, 212
3 1 -2, 41.77, 255
3 1 1, 42.32, 227
3 1 -3, 43.09, 420
3 1 2, 43.98, 271
3 1 -4, 45.09, 197
0 2 0, 63.56, 213

---

# 4
The following is a simulated XRD peak list of Mg14MnSiO16. It was derived from a structure optimized by DFT (PBE+U), using CuKα.
Intensities are scaled so that the largest is 1000.

Structure:
a = 4.3064 Å, b = 8.6007 Å, c = 8.6298 Å
α = 90.00°, β = 90.00°, γ = 90.00°
Space group Pmmm (No. 47)
Symmetry-distinct sites (fractional):
Mg 0.0000 0.0000 0.0000 [1 per cell]
Mg 0.0000 0.2502 0.2477 [4 per cell]
Mg 0.0000 0.5000 0.0000 [1 per cell]
Mg 0.5000 0.0000 0.2470 [2 per cell]
Mg 0.5000 0.2504 0.0000 [2 per cell]
Mg 0.5000 0.2509 0.5000 [2 per cell]
Mg 0.5000 0.5000 0.2482 [2 per cell]
Mn 0.0000 0.5000 0.5000 [1 per cell]
Si 0.0000 0.0000 0.5000 [1 per cell]
O 0.0000 0.0000 0.2370 [2 per cell]
O 0.0000 0.2513 0.0000 [2 per cell]
O 0.0000 0.2522 0.5000 [2 per cell]
O 0.0000 0.5000 0.2413 [2 per cell]
O 0.5000 0.0000 0.0000 [1 per cell]
O 0.5000 0.0000 0.5000 [1 per cell]
O 0.5000 0.2497 0.2514 [4 per cell]
O 0.5000 0.5000 0.0000 [1 per cell]
O 0.5000 0.5000 0.5000 [1 per cell]

Top 12 peaks for 2θ from 5° to 70°, low angle first:
h k l, 2θ (°), intensity
0 0 1, 10.27, 49
0 1 1, 14.54, 24
0 0 2, 20.62, 25
1 0 1, 23.09, 33
1 0 2, 29.32, 20
0 0 3, 31.13, 25
1 2 2, 36.12, 208
0 2 3, 37.63, 16
2 0 0, 41.92, 1000
0 4 0, 42.02, 498
2 0 4, 60.80, 564
2 4 0, 60.89, 283

---

# 5
The following is a simulated XRD peak list of Li3Co3SbO8. It was derived from a structure optimized by DFT (PBE+U), using CuKα.
Intensities are scaled so that the largest is 1000.

Structure:
a = 6.0005 Å, b = 6.0305 Å, c = 6.0443 Å
α = 119.59°, β = 90.66°, γ = 119.36°
Space group P-1 (No. 2)
Symmetry-distinct sites (fractional):
Li 0.0000 0.0000 0.0000 [1 per cell]
Li 0.0000 0.5000 0.5000 [1 per cell]
Li 0.5000 0.0000 0.0000 [1 per cell]
Co 0.0000 0.0000 0.5000 [1 per cell]
Co 0.5000 0.0000 0.5000 [1 per cell]
Co 0.5000 0.5000 0.0000 [1 per cell]
Sb 0.0000 0.5000 0.0000 [1 per cell]
O 0.2123 0.9695 0.2599 [2 per cell]
O 0.2257 0.5025 0.2440 [2 per cell]
O 0.2640 0.0587 0.7490 [2 per cell]
O 0.2656 0.5313 0.7990 [2 per cell]

Top 12 peaks for 2θ from 5° to 70°, low angle first:
h k l, 2θ (°), intensity
0 1 -1, 17.95, 1000
0 1 1, 34.55, 153
-2 1 1, 34.83, 150
2 -1 1, 35.10, 126
0 2 -2, 36.32, 119
2 -2 0, 36.50, 114
0 2 0, 41.95, 185
2 0 -2, 42.20, 185
2 -2 2, 42.71, 177
-2 2 2, 61.02, 103
2 0 2, 61.33, 102
-2 1 3, 64.18, 73

---

# 6
The following is a simulated XRD peak list of V2CdP2O10. It was derived from a structure optimized by DFT (PBE+U), using CuKα.
Intensities are scaled so that the largest is 1000.

Structure:
a = 5.2463 Å, b = 8.1061 Å, c = 17.4895 Å
α = 90.00°, β = 92.98°, γ = 90.00°
Space group P2_1/c (No. 14)
Symmetry-distinct sites (fractional):
V 0.0402 0.0339 0.1470 [4 per cell]
V 0.3392 0.6272 0.9307 [4 per cell]
Cd 0.4091 0.2237 0.3182 [4 per cell]
P 0.1412 0.2337 0.9849 [4 per cell]
P 0.1672 0.0670 0.6855 [4 per cell]
O 0.0810 0.5134 0.8586 [4 per cell]
O 0.1163 0.6773 0.0148 [4 per cell]
O 0.1713 0.1471 0.9055 [4 per cell]
O 0.1768 0.1079 0.0497 [4 per cell]
O 0.1806 0.2428 0.2004 [4 per cell]
O 0.1952 0.5164 0.2646 [4 per cell]
O 0.2711 0.5934 0.6806 [4 per cell]
O 0.2880 0.6905 0.3896 [4 per cell]
O 0.3639 0.1359 0.4893 [4 per cell]
O 0.4085 0.0149 0.6423 [4 per cell]

Top 12 peaks for 2θ from 5° to 70°, low angle first:
h k l, 2θ (°), intensity
1 0 2, 20.19, 731
1 1 -2, 22.22, 589
0 1 4, 23.14, 539
1 1 3, 25.90, 282
1 2 0, 27.83, 479
1 1 -4, 28.16, 975
1 1 4, 29.44, 352
1 2 2, 30.01, 1000
0 0 6, 30.71, 327
1 2 -4, 34.17, 273
0 3 2, 34.75, 334
1 1 6, 37.79, 277

---

# 7
The following is a simulated XRD peak list of LiCo2O3. It was derived from a structure optimized by DFT (PBE+U), using CuKα.
Intensities are scaled so that the largest is 1000.

Structure:
a = 2.9360 Å, b = 4.1682 Å, c = 8.8782 Å
α = 90.00°, β = 90.00°, γ = 90.00°
Space group Immm (No. 71)
Symmetry-distinct sites (fractional):
Li 0.0000 0.0000 0.0000 [2 per cell]
Co 0.0000 0.0000 0.3350 [4 per cell]
O 0.0000 0.5000 0.0000 [2 per cell]
O 0.0000 0.5000 0.3212 [4 per cell]

Top 12 peaks for 2θ from 5° to 70°, low angle first:
h k l, 2θ (°), intensity
0 0 2, 20.00, 301
0 1 1, 23.58, 421
1 0 1, 32.11, 161
0 1 3, 37.26, 223
1 1 0, 37.47, 215
1 1 2, 42.83, 116
0 2 0, 43.42, 1000
1 2 1, 55.01, 64
1 1 4, 56.47, 89
0 0 6, 62.80, 92
1 2 3, 63.08, 373
2 0 0, 63.36, 93